[1]
The following is a calculated XRD peak list of Th6AsP2C3. It was derived from a GGA-PBE-relaxed structure, using Cu Kα (weighted mean of Kα1 and Kα2).
Kinematic intensities with the Lorentz-polarization factor, no thermal factor.

Cell and atoms:
Cell lengths 17.5732, 3.9409, 8.0870 Å; angles 90.00, 105.46, 90.00 degrees
Space group C2/m (No. 12)
Unique sites:
Th  0.0071  0.0000  0.2282
Th  0.1608  0.5000  0.0983
Th  0.1752  0.5000  0.5684
As  0.0000  0.5000  0.5000
P  0.1663  0.0000  0.8325
C  0.0000  0.5000  0.0000
C  0.1677  0.0000  0.3323

Most intense lines, 15° ≤ 2θ ≤ 90°, most intense first:
2θ = 31.7°, rel. 100, hkl 1 1 -2
2θ = 27.6°, rel. 87, hkl 3 1 0
2θ = 46.1°, rel. 38, hkl 0 2 0
2θ = 44.8°, rel. 32, hkl 2 0 -4
2θ = 26.6°, rel. 27, hkl 4 0 -2
2θ = 57.0°, rel. 19, hkl 4 0 4
2θ = 54.0°, rel. 17, hkl 4 2 -2
2θ = 54.6°, rel. 14, hkl 2 2 2
2θ = 74.1°, rel. 12, hkl 3 3 0
2θ = 76.2°, rel. 11, hkl 1 3 -2


[2]
The following is a calculated XRD peak list of U4AsP2C. It was derived from a GGA-PBE-relaxed structure, using Cu Kα (weighted mean of Kα1 and Kα2).
Kinematic intensities with the Lorentz-polarization factor, no thermal factor.

Cell and atoms:
Cell lengths 3.8898, 12.6226, 13.9182 Å; angles 90.00, 90.00, 90.00 degrees
Space group Cmcm (No. 63)
Unique sites:
U  0.0000  0.0000  0.0000
U  0.0000  0.2844  0.1234
U  0.0000  0.4239  0.7500
As  0.0000  0.0955  0.7500
P  0.0000  0.3567  0.5628
C  0.0000  0.1724  0.2500

Most intense lines, 15° ≤ 2θ ≤ 90°, most intense first:
2θ = 29.3°, rel. 100, hkl 0 2 4
2θ = 32.0°, rel. 82, hkl 1 3 1
2θ = 30.8°, rel. 49, hkl 1 1 3
2θ = 27.2°, rel. 41, hkl 1 1 2
2θ = 50.4°, rel. 39, hkl 1 5 4
2θ = 56.1°, rel. 34, hkl 2 2 4
2θ = 31.3°, rel. 33, hkl 1 3 0
2θ = 40.5°, rel. 31, hkl 1 1 5
2θ = 46.7°, rel. 25, hkl 2 0 0
2θ = 33.9°, rel. 24, hkl 1 3 2